(1)
This entry pairs a crystal structure of Sm2Fe15Si2 with its computed PXRD pattern. Radiation: Cu Kα, 1.54184 Å. Structure: a crystal structure in the Materials Project, relaxed with PBE.
Lines closer than 0.1° are merged.

Crystal structure
abc: 6.394 6.394 6.426
angles: 97.26 97.26 82.70
Positions (direct):
Sm: 0.000 0.000 0.000
Sm: 0.682 0.682 0.320
Fe: 0.002 0.002 0.500
Fe: 0.048 0.343 0.362
Fe: 0.049 0.639 0.658
Fe: 0.184 0.682 0.317
Fe: 0.250 0.250 0.754
Fe: 0.341 0.341 0.154
Fe: 0.341 0.847 0.660
Fe: 0.343 0.048 0.362
Fe: 0.345 0.640 0.951
Fe: 0.439 0.439 0.561
Fe: 0.639 0.049 0.658
Fe: 0.640 0.345 0.951
Fe: 0.682 0.184 0.317
Fe: 0.684 0.684 0.813
Fe: 0.847 0.341 0.660
Si: 0.005 0.498 0.997
Si: 0.498 0.005 0.997

Peak list (6 most intense, 2θ from 5° to 70°, sorted by position)
2θ (°), I_rel
30.24, 25
36.81, 34
42.68, 42
42.82, 38
43.01, 100
43.72, 42

=====

(2)
This entry pairs a crystal structure of Tm3Sc with its computed PXRD pattern. Radiation: Cu Kα, 1.54184 Å. Structure: a crystal structure in the Materials Project, relaxed with PBE.
Lines closer than 0.1° are merged.

Crystal structure
abc: 6.988 6.988 5.461
angles: 90.00 90.00 120.00
Positions (direct):
Tm: 0.169 0.337 0.250
Tm: 0.169 0.831 0.250
Tm: 0.337 0.169 0.750
Tm: 0.663 0.831 0.250
Tm: 0.831 0.169 0.750
Tm: 0.831 0.663 0.750
Sc: 0.333 0.667 0.750
Sc: 0.667 0.333 0.250

Peak list (6 most intense, 2θ from 5° to 70°, sorted by position)
2θ (°), I_rel
29.52, 24
32.80, 24
33.87, 100
52.37, 19
59.24, 20
63.19, 22

=====

(3)
This entry pairs a crystal structure of Cr4Se3N2 with its computed PXRD pattern. Radiation: Cu Kα, 1.54184 Å. Structure: a crystal structure in the Materials Project, relaxed with PBE.
Lines closer than 0.1° are merged.

Crystal structure
abc: 6.077 10.399 9.210
angles: 90.00 90.00 90.00
Positions (direct):
Cr: 0.079 0.250 0.133
Cr: 0.205 0.750 0.100
Cr: 0.209 0.027 0.927
Cr: 0.209 0.473 0.927
Cr: 0.291 0.527 0.427
Cr: 0.291 0.973 0.427
Cr: 0.295 0.250 0.600
Cr: 0.421 0.750 0.633
Cr: 0.579 0.250 0.367
Cr: 0.705 0.750 0.400
Cr: 0.709 0.027 0.573
Cr: 0.709 0.473 0.573
Cr: 0.791 0.527 0.073
Cr: 0.791 0.973 0.073
Cr: 0.795 0.250 0.900
Cr: 0.921 0.750 0.867
Se: 0.085 0.570 0.676
Se: 0.085 0.930 0.676
Se: 0.111 0.750 0.356
Se: 0.389 0.250 0.856
Se: 0.415 0.070 0.176
Se: 0.415 0.430 0.176
Se: 0.585 0.570 0.824
Se: 0.585 0.930 0.824
Se: 0.611 0.750 0.144
Se: 0.889 0.250 0.644
Se: 0.915 0.070 0.324
Se: 0.915 0.430 0.324
N: 0.054 0.623 0.005
N: 0.054 0.877 0.005
N: 0.446 0.123 0.505
N: 0.446 0.377 0.505
N: 0.554 0.623 0.495
N: 0.554 0.877 0.495
N: 0.946 0.123 0.995
N: 0.946 0.377 0.995

Peak list (6 most intense, 2θ from 5° to 70°, sorted by position)
2θ (°), I_rel
27.49, 32
30.65, 13
32.68, 23
34.50, 14
35.60, 100
45.60, 20

=====

(4)
This entry pairs a crystal structure of Tm5Ga3 with its computed PXRD pattern. Radiation: Cu Kα, 1.54184 Å. Structure: a crystal structure in the Materials Project, relaxed with PBE.
Lines closer than 0.1° are merged.

Crystal structure
abc: 8.510 8.510 6.407
angles: 90.00 90.00 120.00
Positions (direct):
Tm: 0.000 0.244 0.250
Tm: 0.000 0.756 0.750
Tm: 0.244 0.000 0.250
Tm: 0.244 0.244 0.750
Tm: 0.333 0.667 0.000
Tm: 0.333 0.667 0.500
Tm: 0.667 0.333 0.000
Tm: 0.667 0.333 0.500
Tm: 0.756 0.000 0.750
Tm: 0.756 0.756 0.250
Ga: 0.000 0.399 0.750
Ga: 0.000 0.601 0.250
Ga: 0.399 0.000 0.750
Ga: 0.399 0.399 0.250
Ga: 0.601 0.000 0.250
Ga: 0.601 0.601 0.750

Peak list (6 most intense, 2θ from 5° to 70°, sorted by position)
2θ (°), I_rel
30.43, 18
32.13, 22
35.10, 100
36.58, 21
54.11, 15
57.72, 13

=====

(5)
This entry pairs a crystal structure of CsGaH6C2F2 with its computed PXRD pattern. Radiation: Cu Kα, 1.54184 Å. Structure: a crystal structure in the Materials Project, relaxed with PBE.
Lines closer than 0.1° are merged.

Crystal structure
abc: 11.626 11.626 8.332
angles: 110.65 110.65 50.37
Positions (direct):
Cs: 0.048 0.296 0.263
Cs: 0.296 0.048 0.763
Cs: 0.704 0.952 0.237
Cs: 0.952 0.704 0.737
Ga: 0.149 0.604 0.280
Ga: 0.396 0.851 0.220
Ga: 0.604 0.149 0.780
Ga: 0.851 0.396 0.720
H: 0.138 0.811 0.541
H: 0.189 0.862 0.959
H: 0.195 0.372 0.045
H: 0.265 0.717 0.073
H: 0.283 0.735 0.427
H: 0.315 0.631 0.570
H: 0.316 0.354 0.720
H: 0.330 0.403 0.062
H: 0.354 0.316 0.220
H: 0.369 0.685 0.930
H: 0.372 0.195 0.545
H: 0.403 0.330 0.562
H: 0.597 0.670 0.438
H: 0.628 0.805 0.455
H: 0.631 0.315 0.070
H: 0.646 0.684 0.780
H: 0.670 0.597 0.938
H: 0.684 0.646 0.280
H: 0.685 0.369 0.430
H: 0.717 0.265 0.573
H: 0.735 0.283 0.927
H: 0.805 0.628 0.955
H: 0.811 0.138 0.041
H: 0.862 0.189 0.459
C: 0.229 0.706 0.475
C: 0.270 0.403 0.137
C: 0.294 0.771 0.025
C: 0.403 0.270 0.637
C: 0.597 0.730 0.363
C: 0.706 0.229 0.975
C: 0.730 0.597 0.863
C: 0.771 0.294 0.525
F: 0.001 0.260 0.878
F: 0.016 0.605 0.363
F: 0.260 0.001 0.378
F: 0.395 0.984 0.137
F: 0.605 0.016 0.863
F: 0.740 0.999 0.622
F: 0.984 0.395 0.637
F: 0.999 0.740 0.122

Peak list (6 most intense, 2θ from 5° to 70°, sorted by position)
2θ (°), I_rel
9.13, 80
16.39, 54
18.31, 54
21.37, 100
23.16, 90
30.58, 55

=====

(6)
This entry pairs a crystal structure of MgSi2 with its computed PXRD pattern. Radiation: Cu Kα, 1.54184 Å. Structure: a crystal structure in the Materials Project, relaxed with PBE.
Lines closer than 0.1° are merged.

Crystal structure
abc: 7.145 3.756 9.710
angles: 90.00 105.93 90.00
Positions (direct):
Mg: 0.083 0.000 0.372
Mg: 0.246 0.500 0.854
Mg: 0.754 0.500 0.146
Mg: 0.917 0.000 0.628
Si: 0.172 0.000 0.057
Si: 0.204 0.500 0.210
Si: 0.298 0.000 0.647
Si: 0.482 0.500 0.621
Si: 0.518 0.500 0.379
Si: 0.702 0.000 0.353
Si: 0.796 0.500 0.790
Si: 0.828 0.000 0.943

Peak list (6 most intense, 2θ from 5° to 70°, sorted by position)
2θ (°), I_rel
30.08, 100
37.03, 84
37.53, 65
45.92, 68
48.47, 59
50.85, 75

=====

(7)
This entry pairs a crystal structure of AgSb2F12 with its computed PXRD pattern. Radiation: Cu Kα, 1.54184 Å. Structure: a crystal structure in the Materials Project, relaxed with PBE.
Lines closer than 0.1° are merged.

Crystal structure
abc: 5.430 5.606 9.034
angles: 75.96 88.53 65.29
Positions (direct):
Ag: 0.000 0.000 0.000
Sb: 0.231 0.512 0.735
Sb: 0.769 0.488 0.265
F: 0.147 0.273 0.271
F: 0.194 0.269 0.634
F: 0.194 0.272 0.932
F: 0.273 0.727 0.873
F: 0.292 0.740 0.563
F: 0.386 0.704 0.210
F: 0.614 0.296 0.790
F: 0.708 0.260 0.437
F: 0.727 0.273 0.127
F: 0.806 0.728 0.068
F: 0.806 0.731 0.366
F: 0.853 0.727 0.729

Peak list (6 most intense, 2θ from 5° to 70°, sorted by position)
2θ (°), I_rel
18.03, 52
20.37, 38
21.50, 100
23.29, 81
23.53, 78
30.65, 45

=====

(8)
This entry pairs a crystal structure of HfMg6B with its computed PXRD pattern. Radiation: Cu Kα, 1.54184 Å. Structure: a crystal structure in the Materials Project, relaxed with PBE.
Lines closer than 0.1° are merged.

Crystal structure
abc: 4.697 6.335 6.335
angles: 59.61 90.00 90.00
Positions (direct):
Hf: 0.000 0.000 0.000
Mg: 0.000 0.478 0.989
Mg: 0.000 0.480 0.480
Mg: 0.000 0.989 0.478
Mg: 0.500 0.146 0.657
Mg: 0.500 0.642 0.642
Mg: 0.500 0.657 0.146
B: 0.500 0.090 0.090

Peak list (6 most intense, 2θ from 5° to 70°, sorted by position)
2θ (°), I_rel
16.18, 100
18.89, 28
24.98, 73
32.78, 31
37.93, 36
38.10, 58

=====

(9)
This entry pairs a crystal structure of MnGaPd2 with its computed PXRD pattern. Radiation: Cu Kα, 1.54184 Å. Structure: a crystal structure in the Materials Project, relaxed with PBE.
Lines closer than 0.1° are merged.

Crystal structure
abc: 3.334 3.334 5.487
angles: 90.00 90.00 90.00
Positions (direct):
Mn: 0.000 0.000 0.000
Ga: 0.500 0.500 0.720
Pd: 0.000 0.000 0.516
Pd: 0.500 0.500 0.215

Peak list (6 most intense, 2θ from 5° to 70°, sorted by position)
2θ (°), I_rel
16.15, 6
31.39, 12
38.17, 75
42.68, 100
51.08, 5
55.09, 25